KLi2ScF6: computed powder diffraction line list (Cu Kα X-rays), based on the GGA-PBE geometry in Alexandria.
Lines closer than 0.1° are merged.

```
data_KLi2ScF6
_chemical_formula_sum 'K1 Li2 Sc1 F6'
_space_group_name_H-M_alt 'P 1'
_space_group_IT_number 1
_cell_length_a 5.688
_cell_length_b 5.689
_cell_length_c 6.056
_cell_angle_alpha 117.89
_cell_angle_beta 90.11
_cell_angle_gamma 119.98
loop_
_space_group_symop_operation_xyz
'x,y,z'
loop_
_atom_site_label
_atom_site_fract_x
_atom_site_fract_y
_atom_site_fract_z
K1 0.000 0.000 0.000
Li1 0.277 0.552 0.829
Li2 0.724 0.449 0.172
Sc1 0.500 0.000 0.500
F1 0.106 0.776 0.260
F2 0.330 0.845 0.739
F3 0.483 0.590 0.258
F4 0.517 0.409 0.740
F5 0.670 0.155 0.260
F6 0.894 0.222 0.738
```

Most intense lines, 15 to 90 degrees two-theta, sorted by position:
2theta  Rel. int.
18.93  31
21.46  100
29.59  87
31.45  15
36.17  60
36.96  14
38.39  41
47.92  42
48.01  21
50.44  21
54.82  24
55.99  24

=====

TbPm3Dy6: computed powder diffraction line list (Cu Kα X-rays), based on the GGA-PBE geometry in Alexandria.
Lines closer than 0.1° are merged.

```
data_TbPm3Dy6
_chemical_formula_sum 'Tb2 Pm6 Dy12'
_space_group_name_H-M_alt 'C 1 2/m 1'
_space_group_IT_number 12
_cell_length_a 11.538
_cell_length_b 6.592
_cell_length_c 9.644
_cell_angle_alpha 90.00
_cell_angle_beta 114.26
_cell_angle_gamma 90.00
loop_
_space_group_symop_operation_xyz
'x,y,z'
'-x,-y,-z'
'-x,y,-z'
'x,-y,z'
'x+1/2,y+1/2,z'
'-x+1/2,-y+1/2,-z'
'-x+1/2,y+1/2,-z'
'x+1/2,-y+1/2,z'
loop_
_atom_site_label
_atom_site_fract_x
_atom_site_fract_y
_atom_site_fract_z
Tb1 0.000 0.000 0.000
Pm1 0.000 0.500 0.500
Pm2 0.069 0.500 0.197
Dy1 0.138 0.000 0.422
Dy2 0.186 0.247 0.810
```

Most intense lines, 15 to 90 degrees two-theta, sorted by position:
2theta  Rel. int.
28.44  32
28.89  24
30.50  25
31.23  82
31.42  100
31.67  25
32.04  48
33.63  28
34.00  53
50.49  24
55.31  37
58.86  20

=====

Cd5In12Hg2: computed powder diffraction line list (Cu Kα X-rays), based on the GGA-PBE geometry in Alexandria.
Lines closer than 0.1° are merged.

```
data_Cd5In12Hg2
_chemical_formula_sum 'Cd10 In24 Hg4'
_space_group_name_H-M_alt 'C 1 2/m 1'
_space_group_IT_number 12
_cell_length_a 17.394
_cell_length_b 10.076
_cell_length_c 5.960
_cell_angle_alpha 90.00
_cell_angle_beta 103.48
_cell_angle_gamma 90.00
loop_
_space_group_symop_operation_xyz
'x,y,z'
'-x,-y,-z'
'-x,y,-z'
'x,-y,z'
'x+1/2,y+1/2,z'
'-x+1/2,-y+1/2,-z'
'-x+1/2,y+1/2,-z'
'x+1/2,-y+1/2,z'
loop_
_atom_site_label
_atom_site_fract_x
_atom_site_fract_y
_atom_site_fract_z
Cd1 0.000 0.000 0.000
Cd2 0.192 0.000 0.090
Cd3 0.196 0.500 0.383
In1 0.094 0.000 0.542
In2 0.095 0.261 0.136
In3 0.100 0.500 0.805
In4 0.206 0.246 0.723
Hg1 0.000 0.286 0.500
```

Most intense lines, 15 to 90 degrees two-theta, sorted by position:
2theta  Rel. int.
27.10  17
28.68  31
30.18  30
31.36  29
34.03  100
34.84  21
35.15  37
35.64  59
36.67  83
40.52  29
54.23  26
62.96  19

=====

Ba4LiRh4O12: computed powder diffraction line list (Cu Kα X-rays), based on the GGA-PBE geometry in Alexandria.
Lines closer than 0.1° are merged.

```
data_Ba4LiRh4O12
_chemical_formula_sum 'Ba4 Li1 Rh4 O12'
_space_group_name_H-M_alt 'P -6 m 2'
_space_group_IT_number 187
_space_group_name_Hall 'P -6 2'
_cell_length_a 5.8088
_cell_length_b 5.8088
_cell_length_c 10.0600
_cell_angle_alpha 90.00
_cell_angle_beta 90.00
_cell_angle_gamma 120.00
loop_
_atom_site_label
_atom_site_fract_x
_atom_site_fract_y
_atom_site_fract_z
Ba1 0.0000 0.0000 0.0000
Ba2 0.3333 0.6667 0.2953
Ba3 0.6667 0.3333 0.5000
Li1 0.3333 0.6667 0.0000
Rh1 0.0000 0.0000 0.3629
Rh2 0.6667 0.3333 0.1365
O1 0.1510 0.3021 0.5000
O2 0.3421 0.1710 0.2573
O3 0.5151 0.0302 0.0000
```

Most intense lines, 15 to 90 degrees two-theta, sorted by position:
2theta  Rel. int.
25.03  32
30.79  100
32.08  67
40.08  29
45.06  38
48.74  13
54.74  21
55.56  33
64.13  25
67.82  12
73.52  15
89.22  14

=====

NaLaHfNbO6: computed powder diffraction line list (Cu Kα X-rays), based on the GGA-PBE geometry in Alexandria.
Lines closer than 0.1° are merged.

```
data_NaLaHfNbO6
_chemical_formula_sum 'Na4 La4 Hf4 Nb4 O24'
_space_group_name_H-M_alt 'F -4 3 m'
_space_group_IT_number 216
_space_group_name_Hall 'F -4 2 3'
_cell_length_a 8.163
_cell_length_b 8.163
_cell_length_c 8.163
_cell_angle_alpha 90.00
_cell_angle_beta 90.00
_cell_angle_gamma 90.00
loop_
_atom_site_label
_atom_site_fract_x
_atom_site_fract_y
_atom_site_fract_z
Na1 0.000 0.000 0.000
La1 0.000 0.000 0.500
Hf1 0.250 0.250 0.250
Nb1 0.250 0.250 0.750
O1 0.002 0.250 0.750
```

Most intense lines, 15 to 90 degrees two-theta, sorted by position:
2theta  Rel. int.
18.83  26
21.78  16
30.99  100
36.51  15
44.39  32
48.62  7
49.97  7
55.12  40
64.59  20
73.35  17
81.74  6
89.94  21

=====

MnIn2Te4: computed powder diffraction line list (Cu Kα X-rays), based on the GGA-PBE geometry in Alexandria.
Lines closer than 0.1° are merged.

```
data_MnIn2Te4
_chemical_formula_sum 'Mn1 In2 Te4'
_space_group_name_H-M_alt 'P -4 2 m'
_space_group_IT_number 111
_cell_length_a 6.306
_cell_length_b 6.306
_cell_length_c 6.274
_cell_angle_alpha 90.00
_cell_angle_beta 90.00
_cell_angle_gamma 90.00
loop_
_space_group_symop_operation_xyz
'x,y,z'
'y,-x,-z'
'-x,-y,z'
'-y,x,-z'
'x,-y,-z'
'y,x,z'
'-x,y,-z'
'-y,-x,z'
loop_
_atom_site_label
_atom_site_fract_x
_atom_site_fract_y
_atom_site_fract_z
Mn1 0.000 0.000 0.000
In1 0.000 0.500 0.500
Te1 0.266 0.266 0.218
```

Most intense lines, 15 to 90 degrees two-theta, sorted by position:
2theta  Rel. int.
19.92  9
24.49  100
31.76  14
34.95  12
40.46  24
40.57  45
47.87  30
48.06  12
58.55  8
64.58  10
73.66  13
78.90  6

=====

La4Ge2AsCl: computed powder diffraction line list (Cu Kα X-rays), based on the GGA-PBE geometry in Alexandria.
Lines closer than 0.1° are merged.

```
data_La4Ge2AsCl
_chemical_formula_sum 'La8 Ge4 As2 Cl2'
_space_group_name_H-M_alt 'I 4/m m m'
_space_group_IT_number 139
_space_group_name_Hall '-I 4 2'
_cell_length_a 6.164
_cell_length_b 6.164
_cell_length_c 12.323
_cell_angle_alpha 90.00
_cell_angle_beta 90.00
_cell_angle_gamma 90.00
loop_
_atom_site_label
_atom_site_fract_x
_atom_site_fract_y
_atom_site_fract_z
La1 0.000 0.000 0.245
La2 0.000 0.500 0.000
Ge1 0.000 0.500 0.250
As1 0.000 0.000 0.000
Cl1 0.000 0.000 0.500
```

Most intense lines, 15 to 90 degrees two-theta, sorted by position:
2theta  Rel. int.
16.08  2
25.02  23
28.97  100
41.44  75
49.02  11
49.62  1
51.35  27
60.04  12
66.08  5
68.03  34
75.58  25
81.07  3

=====

CaSmTh2As4: computed powder diffraction line list (Cu Kα X-rays), based on the GGA-PBE geometry in Alexandria.
Lines closer than 0.1° are merged.

```
data_CaSmTh2As4
_chemical_formula_sum 'Ca1 Sm1 Th2 As4'
_space_group_name_H-M_alt 'P 1 2/m 1'
_space_group_IT_number 10
_cell_length_a 7.319
_cell_length_b 4.260
_cell_length_c 7.381
_cell_angle_alpha 90.00
_cell_angle_beta 109.59
_cell_angle_gamma 90.00
loop_
_space_group_symop_operation_xyz
'x,y,z'
'-x,-y,-z'
'-x,y,-z'
'x,-y,z'
loop_
_atom_site_label
_atom_site_fract_x
_atom_site_fract_y
_atom_site_fract_z
Ca1 0.000 0.000 0.000
Sm1 0.000 0.500 0.500
Th1 0.500 0.000 0.500
Th2 0.500 0.500 0.000
As1 0.251 0.000 0.749
As2 0.254 0.500 0.253
```

Most intense lines, 15 to 90 degrees two-theta, sorted by position:
2theta  Rel. int.
24.51  12
25.63  17
29.74  100
42.43  38
42.70  37
52.67  20
53.13  7
61.77  13
69.85  17
70.24  17
77.63  7
77.81  13